Starting from DFT lattice parameters and positions (GGA-PBE), the XRD peak list of Nd12Mg6Tl was calculated for CuKα.
Neutral-atom scattering factors, no anomalous dispersion.

Peak list (10 most intense, 10 to 80 degrees two-theta, by intensity)
d (Å)	two_theta	intensity
2.876	31.1	100
2.796	32.0	92
2.677	33.5	90
2.758	32.5	88
3.706	24.0	86
2.628	34.1	82
4.194	21.2	50
1.654	55.6	34
2.522	35.6	27
1.684	54.5	27

Structural model:
```
data_Nd12Mg6Tl
_chemical_formula_sum 'Nd36 Mg18 Tl3'
_cell_length_a 11.6830
_cell_length_b 11.6830
_cell_length_c 14.9997
_cell_angle_alpha 90.00
_cell_angle_beta 90.00
_cell_angle_gamma 120.00
_space_group_name_H-M_alt 'R -3'
_space_group_IT_number 148
_space_group_name_Hall '-R 3'
loop_
_atom_site_label
_atom_site_fract_x
_atom_site_fract_y
_atom_site_fract_z
Nd1 0.0326 0.8433 0.3119
Nd2 0.0696 0.2133 0.9085
Mg1 0.0407 0.5946 0.2013
Tl1 0.0000 0.0000 0.5000
```